No. 1
The following is a simulated X-ray powder pattern of LiTmSi2Pd. It was derived from DFT lattice parameters and positions (PBE), using λ = 1.5418 Å (Cu Kα).
Peak positions follow from Bragg's law for the DFT cell and can differ from measured ones.

```
data_LiTmSi2Pd
_chemical_formula_sum 'Li2 Tm2 Si4 Pd2'
_symmetry_space_group_name_H-M 'I -4 m 2'
_symmetry_Int_Tables_number 119
_symmetry_space_group_name_Hall 'I -4 -2'
_cell_length_a 3.9450
_cell_length_b 3.9450
_cell_length_c 10.6156
_cell_angle_alpha 90.00
_cell_angle_beta 90.00
_cell_angle_gamma 90.00
loop_
_atom_site_label
_atom_site_type_symbol
_atom_site_fract_x
_atom_site_fract_y
_atom_site_fract_z
_atom_site_occupancy
Li1 Li 0.0000 0.0000 0.0000 1
Tm1 Tm 0.0000 0.5000 0.7500 1
Si1 Si 0.0000 0.5000 0.1413 1
Pd1 Pd 0.0000 0.0000 0.5000 1
```

Main lines, by angle (5° ≤ 2θ ≤ 70°):
2θ (°), d/Å, I_rel, h k l
24.1, 3.698, 863, 1 0 1
34.0, 2.634, 676, 1 0 3
36.4, 2.469, 1000, 1 1 2
46.0, 1.972, 341, 2 0 0
48.7, 1.870, 305, 1 0 5
58.5, 1.579, 284, 2 1 3

***

No. 2
The following is a simulated X-ray powder pattern of LiSm12Pd6. It was derived from DFT lattice parameters and positions (PBE), using λ = 1.5418 Å (Cu Kα).
Peak positions follow from Bragg's law for the DFT cell and can differ from measured ones.

```
data_LiSm12Pd6
_chemical_formula_sum 'Li3 Sm36 Pd18'
_symmetry_space_group_name_H-M 'R -3'
_symmetry_Int_Tables_number 148
_symmetry_space_group_name_Hall '-R 3'
_cell_length_a 14.4893
_cell_length_b 14.4893
_cell_length_c 9.1558
_cell_angle_alpha 90.00
_cell_angle_beta 90.00
_cell_angle_gamma 120.00
loop_
_atom_site_label
_atom_site_type_symbol
_atom_site_fract_x
_atom_site_fract_y
_atom_site_fract_z
_atom_site_occupancy
Li1 Li 0.0000 0.0000 0.0000 1
Sm1 Sm 0.0403 0.2568 0.9280 1
Sm2 Sm 0.0582 0.1788 0.3271 1
Pd1 Pd 0.0732 0.4985 0.2833 1
```

Main lines, by angle (5° ≤ 2θ ≤ 70°):
2θ (°), d/Å, I_rel, h k l
27.4, 3.253, 407, 4 -3 1
29.3, 3.052, 263, 0 0 3
31.8, 2.813, 253, 1 1 3
32.7, 2.741, 1000, 1 4 0
36.4, 2.465, 260, 0 3 3
44.5, 2.038, 255, 4 1 3